Diffraction record for Sr2TaIrN2O4. The powder X-ray diffraction pattern is simulated, not measured: it uses a cell relaxed with PBE and Cu Kα (weighted mean of Kα1 and Kα2).
No peak broadening, texture or thermal motion is included.

Main lines, in order of rising 2θ (2θ = 5–70°):
| index | 2θ/deg | I_rel |
| --- | --- | --- |
| 1 1 0 | 22.30 | 23 |
| 1 1 2 | 31.74 | 100 |
| 2 1 -1 | 37.36 | 1 |
| 0 2 -2 | 39.13 | 2 |
| 0 0 4 | 45.47 | 18 |
| 2 -2 0 | 45.56 | 9 |
| 1 -3 0 | 51.20 | 5 |
| 3 -1 0 | 51.29 | 4 |
| -1 3 2 | 56.48 | 17 |
| 1 -3 2 | 56.58 | 23 |
| 0 4 0 | 66.25 | 8 |
| 4 0 0 | 66.36 | 8 |

Structural model:
```
Sr2TaIrN2O4
1.0
5.6342 0.0000 0.0000
0.0154 5.6446 0.0000
0.0015 0.0125 7.9726
Sr Ta Ir N O
4 2 2 4 8
Direct
0.0000 0.0000 0.0000
0.0130 0.9991 0.5001
0.5044 0.5098 0.9982
0.5187 0.5140 0.4987
0.0178 0.5103 0.2518
0.5161 0.0159 0.7458
0.0016 0.4946 0.7376
0.4991 0.9983 0.2595
0.0172 0.4810 0.4998
0.2728 0.7428 0.2570
0.5048 0.0334 0.4962
0.7463 0.2708 0.7590
0.0024 0.5357 0.9971
0.2344 0.2311 0.7692
0.2355 0.2307 0.2277
0.2785 0.7341 0.7380
0.5151 0.9702 0.9981
0.7376 0.2726 0.2311
0.7697 0.7696 0.2653
0.7755 0.7674 0.7315
```

Diffraction record for Sr2TaIrN2O4. The powder X-ray diffraction pattern is simulated, not measured: it uses a cell relaxed with PBE and Cu Kα (weighted mean of Kα1 and Kα2).
No peak broadening, texture or thermal motion is included.

Main lines, in order of rising 2θ (2θ = 5–70°):
| index | 2θ/deg | I_rel |
| --- | --- | --- |
| 1 1 0 | 22.31 | 34 |
| -1 1 2 | 31.67 | 50 |
| 1 1 -2 | 31.80 | 100 |
| 2 2 0 | 45.49 | 27 |
| 2 -2 0 | 45.58 | 14 |
| 2 -2 2 | 51.32 | 7 |
| 0 2 4 | 56.37 | 10 |
| 2 0 4 | 56.47 | 15 |
| -3 1 2 | 56.64 | 21 |
| 1 -3 2 | 56.71 | 15 |
| 2 2 4 | 66.06 | 4 |
| 4 0 0 | 66.41 | 12 |

Structural model:
```
Sr2TaIrN2O4
1.0
5.6294 0.0000 0.0000
0.0056 5.6339 0.0000
0.0241 0.0486 7.9827
Sr Ta Ir N O
4 2 2 4 8
Direct
0.0000 0.0000 0.0000
0.0011 0.0103 0.5010
0.4963 0.5129 0.0015
0.5010 0.5219 0.5016
0.0035 0.5102 0.7528
0.5058 0.0182 0.2559
0.5025 0.0119 0.7397
0.9923 0.4987 0.2527
0.2615 0.7584 0.7577
0.4740 0.0309 0.5006
0.7410 0.2735 0.2565
0.7422 0.2585 0.7511
0.0375 0.4798 0.5013
0.2323 0.2387 0.2141
0.2462 0.2543 0.7796
0.2670 0.7384 0.2449
0.5377 0.9749 0.0032
0.7588 0.7636 0.7150
0.7685 0.7702 0.2816
0.9649 0.5370 0.0012
```

Diffraction record for Sr2TaIrN2O4. The powder X-ray diffraction pattern is simulated, not measured: it uses a cell relaxed with PBE and Cu Kα (weighted mean of Kα1 and Kα2).
No peak broadening, texture or thermal motion is included.

Main lines, in order of rising 2θ (2θ = 5–70°):
| index | 2θ/deg | I_rel |
| --- | --- | --- |
| 1 1 0 | 22.24 | 23 |
| 0 0 2 | 22.39 | 11 |
| 0 2 0 | 31.59 | 25 |
| 2 0 0 | 31.73 | 100 |
| 1 1 2 | 31.85 | 25 |
| 2 -2 0 | 45.37 | 27 |
| 0 0 4 | 45.69 | 14 |
| 1 -3 2 | 56.32 | 15 |
| 0 2 -4 | 56.47 | 20 |
| 2 0 -4 | 56.59 | 15 |
| 2 0 4 | 56.79 | 5 |
| 4 0 0 | 66.26 | 12 |

Structural model:
```
Sr2TaIrN2O4
1.0
5.6426 0.0000 0.0000
-0.0110 5.6652 0.0000
-0.0286 -0.0203 7.9427
Sr Ta Ir N O
4 2 2 4 8
Direct
0.0000 0.0000 0.0000
0.0096 0.9998 0.5024
0.4887 0.5261 0.0035
0.5028 0.5265 0.5057
0.4979 0.0319 0.7543
0.9958 0.5028 0.2566
0.5126 0.0229 0.2521
0.9970 0.4928 0.7436
0.0010 0.4855 0.5037
0.2387 0.2565 0.7661
0.7403 0.2811 0.7686
0.7415 0.2705 0.2412
0.0061 0.5509 0.0013
0.2462 0.2527 0.2291
0.2671 0.7513 0.7378
0.2690 0.7501 0.2659
0.4993 0.0421 0.5006
0.5064 0.9719 0.0031
0.7644 0.7797 0.7322
0.7716 0.7809 0.2655
```

Diffraction record for Sr4Ta3IrN4O8. The powder X-ray diffraction pattern is simulated, not measured: it uses a cell relaxed with PBE and Cu Kα (weighted mean of Kα1 and Kα2).
No peak broadening, texture or thermal motion is included.

Main lines, in order of rising 2θ (2θ = 5–70°):
| index | 2θ/deg | I_rel |
| --- | --- | --- |
| 0 0 2 | 21.94 | 12 |
| 1 1 0 | 22.33 | 20 |
| 1 1 2 | 31.50 | 100 |
| 2 0 0 | 31.79 | 50 |
| 0 0 4 | 44.74 | 14 |
| 2 2 0 | 45.57 | 26 |
| 1 1 4 | 50.55 | 5 |
| 1 3 0 | 51.32 | 5 |
| 2 0 4 | 55.92 | 20 |
| 1 3 2 | 56.45 | 42 |
| 2 2 4 | 65.77 | 17 |
| 4 0 0 | 66.42 | 8 |

Structural model:
```
Sr4Ta3IrN4O8
1.0
5.6301 0.0000 0.0000
0.0000 5.6301 0.0000
0.0000 0.0000 8.1033
Sr Ta Ir N O
4 3 1 4 8
Direct
0.0000 0.5000 0.2424
0.0000 0.5000 0.7576
0.5000 0.0000 0.2424
0.5000 0.0000 0.7576
0.0000 0.0000 0.0000
0.0000 0.0000 0.5000
0.5000 0.5000 0.5000
0.5000 0.5000 0.0000
0.0000 0.0000 0.2518
0.0000 0.0000 0.7482
0.5000 0.5000 0.2455
0.5000 0.5000 0.7545
0.2011 0.6995 0.5000
0.2075 0.2893 0.0000
0.2893 0.7925 0.0000
0.3005 0.2011 0.5000
0.6995 0.7989 0.5000
0.7107 0.2075 0.0000
0.7925 0.7107 0.0000
0.7989 0.3005 0.5000
```

Diffraction record for TeIrNO. The powder X-ray diffraction pattern is simulated, not measured: it uses a cell relaxed with PBE and Cu Kα (weighted mean of Kα1 and Kα2).
No peak broadening, texture or thermal motion is included.

Main lines, in order of rising 2θ (2θ = 5–70°):
| index | 2θ/deg | I_rel |
| --- | --- | --- |
| 0 1 0 | 12.44 | 100 |
| 1 1 0 | 18.47 | 37 |
| 1 2 0 | 28.59 | 34 |
| 0 0 2 | 31.12 | 70 |
| 2 0 1 | 31.59 | 68 |
| 2 1 1 | 34.07 | 52 |
| 0 3 0 | 37.93 | 41 |
| 2 2 1 | 40.72 | 33 |
| 1 2 2 | 42.77 | 19 |
| 0 3 2 | 49.85 | 37 |
| 2 3 1 | 50.17 | 37 |
| 4 1 2 | 67.41 | 19 |

Structural model:
```
TeIrNO
1.0
6.5096 0.0000 0.0000
0.0000 7.1156 0.0000
0.0000 0.0000 5.7478
Te Ir N O
4 4 4 4
Direct
0.2207 0.1618 0.0000
0.2793 0.1618 0.5000
0.7207 0.8382 0.0000
0.7793 0.8382 0.5000
0.1087 0.5152 0.0156
0.3913 0.5152 0.5156
0.6087 0.4848 0.0156
0.8913 0.4848 0.5156
0.1353 0.5833 0.6817
0.3647 0.5833 0.1817
0.6353 0.4167 0.6817
0.8647 0.4167 0.1817
0.0126 0.7983 0.0764
0.4874 0.7983 0.5764
0.5126 0.2017 0.0764
0.9874 0.2017 0.5764
```

Diffraction record for TeIrNO. The powder X-ray diffraction pattern is simulated, not measured: it uses a cell relaxed with PBE and Cu Kα (weighted mean of Kα1 and Kα2).
No peak broadening, texture or thermal motion is included.

Main lines, in order of rising 2θ (2θ = 5–70°):
| index | 2θ/deg | I_rel |
| --- | --- | --- |
| 0 0 1 | 13.14 | 100 |
| 1 1 1 | 25.63 | 57 |
| 0 0 2 | 26.45 | 21 |
| 0 2 1 | 32.38 | 63 |
| 1 1 2 | 34.60 | 27 |
| 2 0 1 | 35.49 | 50 |
| 0 2 2 | 40.01 | 61 |
| 0 0 3 | 40.14 | 34 |
| 2 0 2 | 42.63 | 51 |
| 2 2 0 | 44.68 | 67 |
| 2 2 1 | 46.77 | 18 |
| 2 2 3 | 61.61 | 39 |

Structural model:
```
TeIrNO
1.0
5.4582 0.0000 0.0000
0.0000 6.0626 0.0000
0.0000 0.0000 6.7397
Te Ir N O
4 4 4 4
Direct
0.0000 0.2500 0.1800
0.0000 0.7500 0.8200
0.5000 0.2500 0.8200
0.5000 0.7500 0.1800
0.2500 0.0000 0.5000
0.2500 0.5000 0.5000
0.7500 0.0000 0.5000
0.7500 0.5000 0.5000
0.0000 0.2500 0.5819
0.0000 0.7500 0.4181
0.5000 0.2500 0.4181
0.5000 0.7500 0.5819
0.2500 0.0000 0.0000
0.2500 0.5000 0.0000
0.7500 0.0000 0.0000
0.7500 0.5000 0.0000
```

Diffraction record for TmIrNO. The powder X-ray diffraction pattern is simulated, not measured: it uses a cell relaxed with PBE and Cu Kα (weighted mean of Kα1 and Kα2).
No peak broadening, texture or thermal motion is included.

Main lines, in order of rising 2θ (2θ = 5–70°):
| index | 2θ/deg | I_rel |
| --- | --- | --- |
| 0 1 0 | 11.47 | 36 |
| 0 2 0 | 23.07 | 40 |
| 1 1 1 | 26.40 | 57 |
| 2 0 0 | 32.86 | 39 |
| 1 2 1 | 33.31 | 100 |
| 0 3 0 | 34.90 | 45 |
| 0 1 2 | 36.61 | 59 |
| 2 1 1 | 39.14 | 49 |
| 0 2 2 | 42.04 | 29 |
| 2 2 1 | 44.30 | 28 |
| 2 3 0 | 48.69 | 26 |
| 2 1 2 | 50.01 | 42 |

Structural model:
```
TmIrNO
1.0
5.4509 0.0000 0.0000
0.0000 7.7116 0.0000
0.0000 0.0000 5.1779
Tm Ir N O
4 4 4 4
Direct
0.0266 0.1398 0.0000
0.4734 0.1398 0.5000
0.5266 0.8602 0.0000
0.9734 0.8602 0.5000
0.0784 0.4729 0.6698
0.4216 0.4729 0.1698
0.5784 0.5271 0.6698
0.9216 0.5271 0.1698
0.1337 0.3410 0.3340
0.3663 0.3410 0.8340
0.6337 0.6590 0.3340
0.8663 0.6590 0.8340
0.2489 0.9751 0.7465
0.2511 0.9751 0.2465
0.7489 0.0249 0.7465
0.7511 0.0249 0.2465
```

Diffraction record for YIrNO. The powder X-ray diffraction pattern is simulated, not measured: it uses a cell relaxed with PBE and Cu Kα (weighted mean of Kα1 and Kα2).
No peak broadening, texture or thermal motion is included.

Main lines, in order of rising 2θ (2θ = 5–70°):
| index | 2θ/deg | I_rel |
| --- | --- | --- |
| 0 1 0 | 11.26 | 100 |
| 0 2 0 | 22.64 | 44 |
| 2 0 0 | 32.47 | 18 |
| 1 2 1 | 32.80 | 37 |
| 0 3 0 | 34.24 | 38 |
| 0 1 2 | 36.15 | 40 |
| 2 1 1 | 38.64 | 41 |
| 0 2 2 | 41.43 | 26 |
| 2 2 1 | 43.67 | 26 |
| 2 3 0 | 47.91 | 18 |
| 2 1 2 | 49.37 | 17 |
| 1 5 1 | 64.18 | 19 |

Structural model:
```
YIrNO
1.0
5.5144 0.0000 0.0000
0.0000 7.8561 0.0000
0.0000 0.0000 5.2392
Y Ir N O
4 4 4 4
Direct
0.0243 0.1430 0.0000
0.4757 0.1430 0.5000
0.5243 0.8570 0.0000
0.9757 0.8570 0.5000
0.0793 0.4739 0.6710
0.4207 0.4739 0.1710
0.5793 0.5261 0.6710
0.9207 0.5261 0.1710
0.1345 0.3472 0.3363
0.3655 0.3472 0.8363
0.6345 0.6528 0.3363
0.8655 0.6528 0.8363
0.2503 0.9776 0.2467
0.2497 0.9776 0.7467
0.7503 0.0224 0.2467
0.7497 0.0224 0.7467
```

Diffraction record for Na3Ir. The powder X-ray diffraction pattern is simulated, not measured: it uses a cell relaxed with PBE and Cu Kα (weighted mean of Kα1 and Kα2).
No peak broadening, texture or thermal motion is included.

Main lines, in order of rising 2θ (2θ = 5–70°):
| index | 2θ/deg | I_rel |
| --- | --- | --- |
| 0 0 2 | 20.52 | 37 |
| 1 1 0 | 21.20 | 27 |
| 1 1 1 | 23.59 | 100 |
| 1 1 2 | 29.67 | 13 |
| 3 0 0 | 37.17 | 49 |
| 1 1 3 | 37.86 | 60 |
| 3 0 2 | 42.82 | 35 |
| 2 2 1 | 44.49 | 20 |
| 2 2 3 | 54.09 | 20 |
| 3 0 4 | 57.10 | 12 |
| 4 1 1 | 59.32 | 18 |
| 4 1 3 | 67.46 | 19 |

Structural model:
```
Na3Ir
1.0
8.3800 0.0000 0.0000
-4.1900 7.2573 0.0000
0.0000 0.0000 8.6573
Na Ir
18 6
Direct
0.0000 0.0000 0.0000
0.0000 0.0000 0.5000
0.0000 0.2885 0.7448
0.0000 0.3696 0.0758
0.0000 0.6304 0.5758
0.0000 0.7115 0.2448
0.2885 0.0000 0.7448
0.2885 0.2885 0.2448
0.3333 0.6667 0.3449
0.3333 0.6667 0.8449
0.3696 0.0000 0.0758
0.3696 0.3696 0.5758
0.6304 0.0000 0.5758
0.6304 0.6304 0.0758
0.6667 0.3333 0.3449
0.6667 0.3333 0.8449
0.7115 0.0000 0.2448
0.7115 0.7115 0.7448
0.0000 0.3272 0.4113
0.0000 0.6728 0.9113
0.3272 0.0000 0.4113
0.3272 0.3272 0.9113
0.6728 0.0000 0.9113
0.6728 0.6728 0.4113
```

Diffraction record for NaNdIr. The powder X-ray diffraction pattern is simulated, not measured: it uses a cell relaxed with PBE and Cu Kα (weighted mean of Kα1 and Kα2).
No peak broadening, texture or thermal motion is included.

Main lines, in order of rising 2θ (2θ = 5–70°):
| index | 2θ/deg | I_rel |
| --- | --- | --- |
| 1 1 1 | 22.73 | 94 |
| 2 2 0 | 37.55 | 100 |
| 3 1 1 | 44.34 | 49 |
| 4 0 0 | 54.15 | 17 |
| 3 3 1 | 59.47 | 21 |
| 4 2 2 | 67.76 | 35 |

Structural model:
```
NaNdIr
1.0
6.7753 0.0000 0.0000
0.0000 6.7753 0.0000
0.0000 0.0000 6.7753
Na Nd Ir
4 4 4
Direct
0.0000 0.0000 0.0000
0.0000 0.5000 0.5000
0.5000 0.0000 0.5000
0.5000 0.5000 0.0000
0.0000 0.0000 0.5000
0.0000 0.5000 0.0000
0.5000 0.0000 0.0000
0.5000 0.5000 0.5000
0.2500 0.2500 0.7500
0.2500 0.7500 0.2500
0.7500 0.2500 0.2500
0.7500 0.7500 0.7500
```

Diffraction record for Na5Ir3O3. The powder X-ray diffraction pattern is simulated, not measured: it uses a cell relaxed with PBE and Cu Kα (weighted mean of Kα1 and Kα2).
No peak broadening, texture or thermal motion is included.

Main lines, in order of rising 2θ (2θ = 5–70°):
| index | 2θ/deg | I_rel |
| --- | --- | --- |
| 1 1 0 | 22.66 | 100 |
| 0 0 1 | 23.68 | 15 |
| 1 1 1 | 33.00 | 81 |
| 2 1 0 | 34.93 | 10 |
| 3 0 0 | 39.79 | 32 |
| 2 2 0 | 46.27 | 14 |
| 3 0 1 | 46.82 | 16 |
| 2 2 1 | 52.62 | 16 |
| 1 1 2 | 54.12 | 19 |
| 3 0 2 | 64.42 | 15 |
| 4 1 1 | 67.94 | 14 |
| 2 2 2 | 69.24 | 8 |

Structural model:
```
Na5Ir3O3
1.0
7.8485 0.0000 0.0000
-3.9242 6.7970 0.0000
0.0000 0.0000 3.7576
Na Ir O
5 3 3
Direct
0.0000 0.7424 0.0000
0.2576 0.2576 0.0000
0.3333 0.6667 0.0000
0.6667 0.3333 0.0000
0.7424 0.0000 0.0000
0.0000 0.3628 0.5000
0.3628 0.0000 0.5000
0.6372 0.6372 0.5000
0.0000 0.3639 0.0000
0.3639 0.0000 0.0000
0.6361 0.6361 0.0000
```

Diffraction record for Na3IrO3. The powder X-ray diffraction pattern is simulated, not measured: it uses a cell relaxed with PBE and Cu Kα (weighted mean of Kα1 and Kα2).
No peak broadening, texture or thermal motion is included.

Main lines, in order of rising 2θ (2θ = 5–70°):
| index | 2θ/deg | I_rel |
| --- | --- | --- |
| 1 0 0 | 15.99 | 98 |
| 0 1 0 | 16.47 | 100 |
| 1 1 0 | 22.83 | 73 |
| 1 0 -1 | 22.95 | 30 |
| 1 -1 0 | 23.22 | 24 |
| -1 1 1 | 23.48 | 23 |
| 0 1 2 | 28.78 | 34 |
| 1 1 2 | 32.84 | 55 |
| 0 2 2 | 33.80 | 38 |
| 2 1 1 | 36.24 | 42 |
| 1 0 2 | 36.65 | 35 |
| 1 2 0 | 36.89 | 93 |

Structural model:
```
Na3IrO3
1.0
5.5449 0.0000 0.0000
0.1361 6.1290 0.0000
0.1003 2.9661 5.4517
Na Ir O
6 2 6
Direct
0.0648 0.0161 0.2453
0.3862 0.2346 0.4865
0.4248 0.7593 0.9697
0.5752 0.2407 0.0303
0.6138 0.7654 0.5135
0.9352 0.9839 0.7547
0.0883 0.4778 0.7416
0.9117 0.5222 0.2584
0.1980 0.4108 0.1340
0.2326 0.8085 0.6144
0.2454 0.1626 0.8470
0.7546 0.8374 0.1530
0.7674 0.1915 0.3856
0.8020 0.5892 0.8660
```